[1]
The following is a computed powder X-ray diffraction pattern of K3AuS2. It was derived from the PBE geometry in Alexandria, using Cu Kα X-rays.

Cell and atoms:
```
data_K3AuS2
_chemical_formula_sum 'K12 Au4 S8'
_cell_length_a 7.059
_cell_length_b 13.071
_cell_length_c 8.449
_cell_angle_alpha 90.00
_cell_angle_beta 90.00
_cell_angle_gamma 90.00
_symmetry_space_group_name_H-M 'I b a m'
_symmetry_Int_Tables_number 72
_symmetry_space_group_name_Hall '-I 2 2c'
loop_
_atom_site_label
_atom_site_fract_x
_atom_site_fract_y
_atom_site_fract_z
_atom_site_occupancy
K1 0.000 0.000 0.250 1
K2 0.000 0.280 0.250 1
Au1 0.000 0.500 0.000 1
S1 0.247 0.120 0.000 1
```

The 10 most intense peaks (10° ≤ 2θ ≤ 90°), sorted by position:
(0 2 0), 13.55 deg, intensity 52.7; (1 1 0), 14.26 deg, intensity 100.0; (0 2 2), 25.10 deg, intensity 55.6; (2 0 0), 25.23 deg, intensity 31.3; (1 1 2), 25.50 deg, intensity 93.8; (1 3 2), 32.12 deg, intensity 84.7; (2 2 2), 35.89 deg, intensity 41.2; (2 4 0), 37.51 deg, intensity 45.5; (3 3 2), 49.00 deg, intensity 24.8; (2 4 4), 58.21 deg, intensity 23.9



[2]
The following is a computed powder X-ray diffraction pattern of KTe2Au2S6. It was derived from the PBE geometry in Alexandria, using Cu Kα X-rays.

Cell and atoms:
```
data_KTe2Au2S6
_chemical_formula_sum 'K1 Te2 Au2 S6'
_cell_length_a 6.038
_cell_length_b 8.041
_cell_length_c 8.550
_cell_angle_alpha 112.17
_cell_angle_beta 96.35
_cell_angle_gamma 104.19
_symmetry_space_group_name_H-M 'P -1'
_symmetry_Int_Tables_number 2
_symmetry_space_group_name_Hall '-P 1'
loop_
_atom_site_label
_atom_site_fract_x
_atom_site_fract_y
_atom_site_fract_z
_atom_site_occupancy
K1 0.000 0.000 0.000 1
Te1 0.320 0.634 0.706 1
Au1 0.225 0.575 0.127 1
S1 0.102 0.423 0.304 1
S2 0.363 0.339 0.658 1
S3 0.418 0.790 0.022 1
```

The 10 most intense peaks (10° ≤ 2θ ≤ 90°), sorted by position:
(0 0 1), 11.47 deg, intensity 25.2; (0 1 0), 12.51 deg, intensity 100.0; (1 -1 0), 16.65 deg, intensity 15.0; (1 0 -2), 24.78 deg, intensity 23.1; (1 -2 0), 25.15 deg, intensity 28.9; (1 1 -2), 25.52 deg, intensity 17.8; (1 -1 2), 27.10 deg, intensity 12.7; (2 -1 0), 29.94 deg, intensity 19.2; (0 1 2), 30.75 deg, intensity 20.5; (0 4 -2), 46.66 deg, intensity 13.1



[3]
The following is a computed powder X-ray diffraction pattern of KU2Au2S6. It was derived from the PBE geometry in Alexandria, using Cu Kα X-rays.

Cell and atoms:
```
data_KU2Au2S6
_chemical_formula_sum 'K1 U2 Au2 S6'
_cell_length_a 7.189
_cell_length_b 7.383
_cell_length_c 7.669
_cell_angle_alpha 89.64
_cell_angle_beta 62.26
_cell_angle_gamma 61.08
_symmetry_space_group_name_H-M 'P -1'
_symmetry_Int_Tables_number 2
_symmetry_space_group_name_Hall '-P 1'
loop_
_atom_site_label
_atom_site_fract_x
_atom_site_fract_y
_atom_site_fract_z
_atom_site_occupancy
K1 0.000 0.000 0.000 1
U1 0.320 0.339 0.005 1
Au1 0.097 0.678 0.479 1
S1 0.137 0.318 0.785 1
S2 0.255 0.060 0.219 1
S3 0.499 0.573 0.789 1
```

The 10 most intense peaks (10° ≤ 2θ ≤ 90°), sorted by position:
(0 1 0), 14.29 deg, intensity 54.6; (1 0 1), 14.89 deg, intensity 100.0; (1 -1 1), 24.05 deg, intensity 48.6; (0 0 2), 27.38 deg, intensity 41.6; (1 2 1), 27.45 deg, intensity 34.0; (1 2 -1), 28.15 deg, intensity 78.8; (2 1 2), 28.42 deg, intensity 48.2; (2 2 2), 33.79 deg, intensity 27.8; (-1 1 1), 36.13 deg, intensity 39.8; (1 -1 3), 37.39 deg, intensity 31.3



[4]
The following is a computed powder X-ray diffraction pattern of KSb2Au3. It was derived from the PBE geometry in Alexandria, using Cu Kα X-rays.

Cell and atoms:
```
data_KSb2Au3
_chemical_formula_sum 'K4 Sb8 Au12'
_cell_length_a 18.036
_cell_length_b 4.686
_cell_length_c 8.348
_cell_angle_alpha 90.00
_cell_angle_beta 108.65
_cell_angle_gamma 90.00
_symmetry_space_group_name_H-M 'C 1 2/m 1'
_symmetry_Int_Tables_number 12
_symmetry_space_group_name_Hall '-C 2y'
loop_
_atom_site_label
_atom_site_fract_x
_atom_site_fract_y
_atom_site_fract_z
_atom_site_occupancy
K1 0.164 0.000 0.057 1
Sb1 0.000 0.500 0.177 1
Sb2 0.189 0.000 0.631 1
Au1 0.067 0.000 0.319 1
Au2 0.133 0.500 0.729 1
Au3 0.164 0.500 0.386 1
```

The 10 most intense peaks (10° ≤ 2θ ≤ 90°), sorted by position:
(0 0 1), 11.19 deg, intensity 92.3; (4 0 -1), 20.22 deg, intensity 46.1; (0 0 2), 22.48 deg, intensity 39.0; (3 1 1), 29.15 deg, intensity 100.0; (3 1 -2), 29.89 deg, intensity 35.4; (0 2 0), 38.42 deg, intensity 75.3; (1 1 3), 41.07 deg, intensity 50.5; (7 1 -2), 41.48 deg, intensity 59.3; (7 1 0), 41.72 deg, intensity 55.1; (7 1 1), 46.54 deg, intensity 31.9



[5]
The following is a computed powder X-ray diffraction pattern of K3SbAu. It was derived from the PBE geometry in Alexandria, using Cu Kα X-rays.

Cell and atoms:
```
data_K3SbAu
_chemical_formula_sum 'K12 Sb4 Au4'
_cell_length_a 7.047
_cell_length_b 9.693
_cell_length_c 11.208
_cell_angle_alpha 90.00
_cell_angle_beta 90.10
_cell_angle_gamma 90.00
_symmetry_space_group_name_H-M 'P 1 21/c 1'
_symmetry_Int_Tables_number 14
_symmetry_space_group_name_Hall '-P 2ybc'
loop_
_atom_site_label
_atom_site_fract_x
_atom_site_fract_y
_atom_site_fract_z
_atom_site_occupancy
K1 0.225 0.201 0.375 1
K2 0.239 0.540 0.607 1
K3 0.256 0.545 0.144 1
Sb1 0.089 0.729 0.874 1
Au1 0.473 0.743 0.875 1
```

The 10 most intense peaks (10° ≤ 2θ ≤ 90°), sorted by position:
(0 2 0), 18.29 deg, intensity 100.0; (1 1 -2), 22.25 deg, intensity 16.6; (1 2 -2), 27.43 deg, intensity 29.8; (2 1 2), 31.38 deg, intensity 67.1; (0 0 4), 31.96 deg, intensity 53.1; (0 4 0), 37.08 deg, intensity 24.4; (2 3 2), 41.19 deg, intensity 12.7; (2 2 -4), 45.40 deg, intensity 16.9; (0 4 4), 49.74 deg, intensity 17.5; (2 5 -2), 56.58 deg, intensity 14.5



[6]
The following is a computed powder X-ray diffraction pattern of KSbAu3. It was derived from the PBE geometry in Alexandria, using Cu Kα X-rays.

Cell and atoms:
```
data_KSbAu3
_chemical_formula_sum 'K4 Sb4 Au12'
_cell_length_a 5.893
_cell_length_b 7.630
_cell_length_c 11.178
_cell_angle_alpha 90.00
_cell_angle_beta 90.00
_cell_angle_gamma 90.00
_symmetry_space_group_name_H-M 'I m m a'
_symmetry_Int_Tables_number 74
_symmetry_space_group_name_Hall '-I 2b 2'
loop_
_atom_site_label
_atom_site_fract_x
_atom_site_fract_y
_atom_site_fract_z
_atom_site_occupancy
K1 0.000 0.000 0.000 1
Sb1 0.000 0.250 0.459 1
Au1 0.000 0.072 0.694 1
Au2 0.250 0.250 0.250 1
```

The 10 most intense peaks (10° ≤ 2θ ≤ 90°), sorted by position:
(0 0 2), 15.86 deg, intensity 100.0; (1 0 1), 17.01 deg, intensity 63.8; (1 0 3), 28.34 deg, intensity 39.4; (2 1 1), 33.57 deg, intensity 60.7; (0 3 1), 36.22 deg, intensity 80.1; (1 2 3), 37.02 deg, intensity 49.8; (1 1 4), 37.52 deg, intensity 30.9; (2 2 0), 38.61 deg, intensity 25.4; (2 1 3), 40.79 deg, intensity 44.6; (2 2 2), 41.97 deg, intensity 91.3